1.
Diffraction record for Na2SnPCO7. The powder diffractogram is theoretical, not measured: it uses a cell relaxed with PBE and a wavelength of 1.5418 Å.

Structure:
a b c (Å): 5.5769 6.9150 9.1440
angles (deg): 90.00 93.40 90.00
Space group P2_1 (No. 4)
Inequivalent atoms, fractional coordinates:
1 Na 0.2237 0.0000 0.0834
2 Na 0.2600 0.2761 0.7268
3 Sn 0.2163 0.4805 0.3410
4 P 0.2750 0.9890 0.4185
5 C 0.3118 0.4937 0.0513
6 O 0.0889 0.4808 0.0927
7 O 0.1558 0.0121 0.5660
8 O 0.1760 0.8141 0.3238
9 O 0.2202 0.1655 0.3143
10 O 0.3618 0.4713 0.9187
11 O 0.4485 0.4637 0.5509
12 O 0.4796 0.5269 0.1557

Main lines, in order of falling intensity (2θ from 10° to 90°):
(hkl)  two_theta  intensity
0 2 0  25.77  100
1 0 1  19.16  81
0 1 1  16.08  67
1 0 -1  18.17  57
1 1 0  20.48  50
1 1 3  36.87  45
2 0 0  32.16  41
1 2 1  32.31  38
1 0 -2  24.48  37
0 4 0  52.95  36
1 2 -1  31.71  32
2 1 -2  39.12  30

---

2.
Diffraction record for Na2SnPCO7. The powder diffractogram is theoretical, not measured: it uses a cell relaxed with PBE and a wavelength of 1.5418 Å.

Structure:
a b c (Å): 5.3209 6.8770 9.1987
angles (deg): 90.00 92.67 90.00
Space group P2_1/m (No. 11)
Inequivalent atoms, fractional coordinates:
1 Na 0.2349 0.0039 0.2207
2 Sn 0.2191 0.2500 0.6351
3 P 0.2869 0.7500 0.5867
4 C 0.2726 0.2500 0.9283
5 O 0.0533 0.2500 0.8537
6 O 0.1765 0.5691 0.6632
7 O 0.2009 0.7500 0.4200
8 O 0.2899 0.2500 0.0654
9 O 0.4206 0.2500 0.4006
10 O 0.4714 0.2500 0.8471

Main lines, in order of falling intensity (2θ from 10° to 90°):
(hkl)  two_theta  intensity
0 1 1  16.10  100
1 1 0  21.13  81
1 0 2  26.22  77
0 2 0  25.91  75
2 0 1  35.61  55
2 0 0  33.73  51
1 0 -2  25.02  49
1 2 -1  32.27  45
0 3 1  40.58  42
1 0 -1  18.89  40
1 2 1  32.75  40
0 2 4  47.61  37